# 1
The following is a simulated powder X-ray diffraction pattern of Ca2P3Pb3ClO12. It was derived from the PBE geometry in Alexandria, using Cu Kα (λ = 1.5418 Å).
Kinematic intensities with the Lorentz-polarization factor, no thermal factor.

Most intense lines, 2θ = 5–70°, in order of rising 2θ:
d (Å)  I_rel
8.681  23
4.100  50
3.564  26
2.981  100
2.905  26
2.412  23
1.994  18
1.924  29
1.918  26
1.854  20

Structural model:
Unit cell a=10.0243 b=10.0243 c=7.1280 alpha=90.00 beta=90.00 gamma=120.00
Element x y z (fractional)
Ca1 0.3333 0.6667 0.0059
Ca2 0.3333 0.6667 0.4941
Ca3 0.6667 0.3333 0.5059
Ca4 0.6667 0.3333 0.9941
P1 0.0329 0.4221 0.7500
P2 0.3892 0.9671 0.7500
P3 0.4221 0.3892 0.2500
P4 0.5779 0.6108 0.7500
P5 0.6108 0.0329 0.2500
P6 0.9671 0.5779 0.2500
Pb1 0.0201 0.7584 0.7500
Pb2 0.2416 0.2617 0.7500
Pb3 0.2617 0.0201 0.2500
Pb4 0.7383 0.9799 0.7500
Pb5 0.7584 0.7383 0.2500
Pb6 0.9799 0.2416 0.2500
Cl1 0.0000 0.0000 0.0000
Cl2 0.0000 0.0000 0.5000
O1 0.0818 0.3646 0.5740
O2 0.0818 0.3646 0.9260
O3 0.1397 0.6032 0.7500
O4 0.1395 0.6254 0.2500
O5 0.2828 0.9182 0.5740
O6 0.2828 0.9182 0.9260
O7 0.3646 0.2828 0.0740
O8 0.3646 0.2828 0.4260
O9 0.3746 0.5141 0.2500
O10 0.3968 0.5365 0.7500
O11 0.4635 0.8603 0.7500
O12 0.4859 0.8605 0.2500
O13 0.5141 0.1395 0.7500
O14 0.5365 0.1397 0.2500
O15 0.6032 0.4635 0.2500
O16 0.6254 0.4859 0.7500
O17 0.6354 0.7172 0.5740
O18 0.6354 0.7172 0.9260
O19 0.7172 0.0818 0.0740
O20 0.7172 0.0818 0.4260
O21 0.8605 0.3746 0.7500
O22 0.8603 0.3968 0.2500
O23 0.9182 0.6354 0.0740
O24 0.9182 0.6354 0.4260

=====

# 2
The following is a simulated powder X-ray diffraction pattern of CaReClO4. It was derived from the PBE geometry in Alexandria, using Cu Kα (λ = 1.5418 Å).
Kinematic intensities with the Lorentz-polarization factor, no thermal factor.

Most intense lines, 2θ = 5–70°, in order of rising 2θ:
d (Å)  I_rel
5.901  55
5.198  59
4.204  45
3.930  43
3.769  100
3.456  20
3.190  50
3.047  19
2.717  19
2.035  31

Structural model:
Unit cell a=6.4894 b=6.4894 c=8.7378 alpha=110.85 beta=110.85 gamma=70.85
Element x y z (fractional)
Ca1 0.1922 0.1922 0.1810
Ca2 0.8078 0.8078 0.8190
Re1 0.3868 0.3868 0.7086
Re2 0.6132 0.6132 0.2914
Cl1 0.0712 0.0712 0.8411
Cl2 0.9288 0.9288 0.1589
O1 0.1441 0.5230 0.7809
O2 0.3102 0.3102 0.4857
O3 0.4296 0.4296 0.2119
O4 0.4770 0.8559 0.2191
O5 0.5230 0.1441 0.7809
O6 0.5704 0.5704 0.7881
O7 0.6898 0.6898 0.5143
O8 0.8559 0.4770 0.2191